[1]
For RbPr2PaS5, a PBE-relaxed structure gives the calculated powder XRD pattern in this record (Cu Ka).
Lines closer than 0.1° are merged.

Structural model:
```
data_RbPr2PaS5
_space_group_name_H-M_alt 'I m m m'
_space_group_IT_number 71
_space_group_name_Hall '-I 2 2'
_cell_length_a 5.0908
_cell_length_b 7.3268
_cell_length_c 13.9068
_cell_angle_alpha 90.00
_cell_angle_beta 90.00
_cell_angle_gamma 90.00
loop_
_atom_site_label
_atom_site_type_symbol
_atom_site_fract_x
_atom_site_fract_y
_atom_site_fract_z
Rb1 Rb 0.0000 0.0000 0.0000
Pr1 Pr 0.0000 0.5000 0.2043
Pa1 Pa 0.0000 0.0000 0.5000
S1 S 0.0000 0.2354 0.3513
S2 S 0.0000 0.5000 0.0000
```

Most intense lines, 10° ≤ 2θ ≤ 90°, in order of rising 2θ:
index, Position (°2θ), Rel. int.
0 1 1, 13.7, 51.6
0 2 0, 24.3, 24.5
1 1 2, 24.9, 100.0
0 1 5, 34.5, 16.9
2 0 0, 35.3, 22.4
0 2 4, 35.6, 24.4
1 2 3, 35.9, 29.1
1 3 2, 43.1, 24.9
2 2 4, 51.0, 17.1
2 4 0, 62.4, 14.3

=====

[2]
For MnNb4Mo2, a PBE-relaxed structure gives the calculated powder XRD pattern in this record (Cu Ka).
Lines closer than 0.1° are merged.

Structural model:
```
data_MnNb4Mo2
_space_group_name_H-M_alt 'I 4/m m m'
_space_group_IT_number 139
_space_group_name_Hall '-I 4 2'
_cell_length_a 6.2480
_cell_length_b 6.2480
_cell_length_c 6.3806
_cell_angle_alpha 90.00
_cell_angle_beta 90.00
_cell_angle_gamma 90.00
loop_
_atom_site_label
_atom_site_type_symbol
_atom_site_fract_x
_atom_site_fract_y
_atom_site_fract_z
Mn1 Mn 0.0000 0.0000 0.0000
Nb1 Nb 0.2500 0.2500 0.2500
Mo1 Mo 0.0000 0.5000 0.0000
```

Most intense lines, 10° ≤ 2θ ≤ 90°, in order of rising 2θ:
index, Position (°2θ), Rel. int.
1 1 0, 20.1, 15.0
2 0 0, 28.6, 5.5
1 1 2, 34.7, 7.5
2 0 2, 40.4, 100.0
2 2 0, 40.9, 48.4
0 0 4, 57.8, 8.4
4 0 0, 59.1, 15.7
2 2 4, 73.2, 16.4
4 2 2, 74.1, 31.6
4 0 4, 87.4, 10.5

=====

[3]
For Nd2PuAs3Rh4, a PBE-relaxed structure gives the calculated powder XRD pattern in this record (Cu Ka).
Lines closer than 0.1° are merged.

Structural model:
```
data_Nd2PuAs3Rh4
_space_group_name_H-M_alt 'P -4 m 2'
_space_group_IT_number 115
_cell_length_a 4.1624
_cell_length_b 4.1624
_cell_length_c 11.3282
_cell_angle_alpha 90.00
_cell_angle_beta 90.00
_cell_angle_gamma 90.00
loop_
_space_group_symop_operation_xyz
'x,y,z'
'y,-x,-z'
'-x,-y,z'
'-y,x,-z'
'-x,y,z'
'-y,-x,-z'
'x,-y,z'
'y,x,-z'
loop_
_atom_site_label
_atom_site_type_symbol
_atom_site_fract_x
_atom_site_fract_y
_atom_site_fract_z
Nd1 Nd 0.0000 0.5000 0.2248
Pu1 Pu 0.0000 0.0000 0.5000
As1 As 0.0000 0.5000 0.8719
As2 As 0.5000 0.5000 0.5000
Rh1 Rh 0.0000 0.0000 0.0000
Rh2 Rh 0.0000 0.5000 0.6567
Rh3 Rh 0.5000 0.5000 0.0000
```

Most intense lines, 10° ≤ 2θ ≤ 90°, in order of rising 2θ:
index, Position (°2θ), Rel. int.
1 0 3, 32.0, 28.3
1 1 2, 34.3, 100.0
1 0 4, 38.4, 11.3
2 0 0, 43.5, 45.8
1 1 4, 44.4, 21.8
1 0 5, 45.6, 17.5
2 1 3, 55.0, 12.2
2 2 0, 63.2, 15.0
2 1 5, 64.8, 12.2
3 1 2, 73.9, 21.5

=====

[4]
For CsP2H3N, a PBE-relaxed structure gives the calculated powder XRD pattern in this record (Cu Ka).
Lines closer than 0.1° are merged.

Structural model:
```
data_CsP2H3N
_space_group_name_H-M_alt 'P 1 21/c 1'
_space_group_IT_number 14
_cell_length_a 6.8313
_cell_length_b 12.8359
_cell_length_c 6.9094
_cell_angle_alpha 90.00
_cell_angle_beta 107.51
_cell_angle_gamma 90.00
loop_
_space_group_symop_operation_xyz
'x,y,z'
'-x,-y,-z'
'-x,y+1/2,-z+1/2'
'x,-y+1/2,z+1/2'
loop_
_atom_site_label
_atom_site_type_symbol
_atom_site_fract_x
_atom_site_fract_y
_atom_site_fract_z
Cs1 Cs 0.2328 0.1276 0.1886
P1 P 0.9995 0.1010 0.6174
P2 P 0.2133 0.5250 0.1393
H1 H 0.3178 0.7287 0.6324
H2 H 0.3550 0.6435 0.4710
H3 H 0.4836 0.6343 0.7126
N1 N 0.4302 0.6870 0.5968
```

Most intense lines, 10° ≤ 2θ ≤ 90°, in order of rising 2θ:
index, Position (°2θ), Rel. int.
1 1 0, 15.3, 100.0
0 2 1, 19.3, 93.4
1 1 1, 23.0, 47.9
1 3 0, 24.9, 49.2
1 0 -2, 26.3, 77.6
2 0 0, 27.3, 72.8
0 4 0, 27.8, 34.4
2 2 -1, 30.1, 93.7
1 3 1, 30.3, 48.2
2 2 1, 37.0, 29.6

=====

[5]
For AlGeH, a PBE-relaxed structure gives the calculated powder XRD pattern in this record (Cu Ka).
Lines closer than 0.1° are merged.

Structural model:
```
data_AlGeH
_space_group_name_H-M_alt 'F 2 2 2'
_space_group_IT_number 22
_space_group_name_Hall 'F 2 2'
_cell_length_a 3.9591
_cell_length_b 7.9608
_cell_length_c 12.4905
_cell_angle_alpha 90.00
_cell_angle_beta 90.00
_cell_angle_gamma 90.00
loop_
_atom_site_label
_atom_site_type_symbol
_atom_site_fract_x
_atom_site_fract_y
_atom_site_fract_z
Al1 Al 0.0000 0.0000 0.1547
Ge1 Ge 0.2500 0.2500 0.5626
H1 H 0.2500 0.0939 0.2500
```

Most intense lines, 10° ≤ 2θ ≤ 90°, in order of rising 2θ:
index, Position (°2θ), Rel. int.
0 0 2, 14.2, 57.1
0 2 0, 22.3, 26.4
1 1 1, 26.1, 33.6
0 2 2, 26.6, 64.6
1 1 3, 33.2, 100.0
1 1 5, 44.4, 37.2
0 4 0, 45.6, 18.5
1 3 3, 46.6, 36.3
2 2 0, 51.6, 25.7
1 3 5, 55.6, 19.6

=====

[6]
For Pm7Dy12In, a PBE-relaxed structure gives the calculated powder XRD pattern in this record (Cu Ka).
Lines closer than 0.1° are merged.

Structural model:
```
data_Pm7Dy12In
_space_group_name_H-M_alt 'P -1'
_space_group_IT_number 2
_cell_length_a 8.4829
_cell_length_b 8.8691
_cell_length_c 8.9804
_cell_angle_alpha 98.88
_cell_angle_beta 90.21
_cell_angle_gamma 94.58
loop_
_space_group_symop_operation_xyz
'x,y,z'
'-x,-y,-z'
loop_
_atom_site_label
_atom_site_type_symbol
_atom_site_fract_x
_atom_site_fract_y
_atom_site_fract_z
Pm1 Pm 0.0000 0.0000 0.0000
Pm2 Pm 0.1660 0.6878 0.7130
Pm3 Pm 0.2929 0.7720 0.0513
Pm4 Pm 0.3699 0.1899 0.2316
Dy1 Dy 0.0944 0.2015 0.5806
Dy2 Dy 0.1275 0.3697 0.9753
Dy3 Dy 0.1685 0.5175 0.3499
Dy4 Dy 0.3469 0.0610 0.8176
Dy5 Dy 0.3553 0.8633 0.4405
Dy6 Dy 0.4564 0.4406 0.8141
In1 In 0.5000 0.5000 0.5000
```

Most intense lines, 10° ≤ 2θ ≤ 90°, in order of rising 2θ:
index, Position (°2θ), Rel. int.
2 -2 1, 28.9, 19.8
0 1 -3, 30.4, 29.1
2 2 -1, 31.1, 100.0
1 -3 1, 31.8, 74.0
-1 2 2, 32.0, 25.3
3 -1 0, 32.6, 52.1
2 1 2, 32.8, 29.8
1 2 2, 33.4, 29.2
0 3 1, 33.9, 26.8
2 -1 3, 37.0, 15.9

=====

[7]
For Li2Ag5Pd2, a PBE-relaxed structure gives the calculated powder XRD pattern in this record (Cu Ka).
Lines closer than 0.1° are merged.

Structural model:
```
data_Li2Ag5Pd2
_space_group_name_H-M_alt 'P -1'
_space_group_IT_number 2
_cell_length_a 4.9518
_cell_length_b 4.9685
_cell_length_c 6.3515
_cell_angle_alpha 83.07
_cell_angle_beta 75.39
_cell_angle_gamma 80.38
loop_
_space_group_symop_operation_xyz
'x,y,z'
'-x,-y,-z'
loop_
_atom_site_label
_atom_site_type_symbol
_atom_site_fract_x
_atom_site_fract_y
_atom_site_fract_z
Li1 Li 0.1776 0.3253 0.3426
Ag1 Ag 0.0548 0.1121 0.7675
Ag2 Ag 0.2776 0.5558 0.8823
Ag3 Ag 0.5000 0.0000 0.0000
Pd1 Pd 0.3887 0.7743 0.4439
```

Most intense lines, 10° ≤ 2θ ≤ 90°, in order of rising 2θ:
index, Position (°2θ), Rel. int.
1 1 0, 24.2, 12.6
2 1 1, 38.6, 100.0
1 2 -1, 44.5, 16.4
2 -1 0, 44.8, 16.4
1 1 3, 45.2, 15.5
3 1 -1, 65.0, 10.2
2 3 2, 65.3, 10.0
3 3 0, 78.0, 11.8
1 3 4, 79.0, 11.1
4 2 2, 82.7, 10.1

=====

[8]
For K3U3ZnTe8, a PBE-relaxed structure gives the calculated powder XRD pattern in this record (Cu Ka).
Lines closer than 0.1° are merged.

Structural model:
```
data_K3U3ZnTe8
_space_group_name_H-M_alt 'P -1'
_space_group_IT_number 2
_cell_length_a 8.7827
_cell_length_b 8.8147
_cell_length_c 9.5897
_cell_angle_alpha 64.96
_cell_angle_beta 64.95
_cell_angle_gamma 63.19
loop_
_space_group_symop_operation_xyz
'x,y,z'
'-x,-y,-z'
loop_
_atom_site_label
_atom_site_type_symbol
_atom_site_fract_x
_atom_site_fract_y
_atom_site_fract_z
K1 K 0.0000 0.0000 0.0000
K2 K 0.0000 0.5000 0.0000
K3 K 0.5000 0.0000 0.0000
U1 U 0.0000 0.5000 0.5000
U2 U 0.5000 0.0000 0.5000
U3 U 0.5000 0.5000 0.5000
Zn1 Zn 0.0000 0.0000 0.5000
Te1 Te 0.2032 0.2031 0.3179
Te2 Te 0.2519 0.7100 0.2852
Te3 Te 0.2615 0.2624 0.7126
Te4 Te 0.2837 0.7517 0.7120
```

Most intense lines, 10° ≤ 2θ ≤ 90°, in order of rising 2θ:
index, Position (°2θ), Rel. int.
0 0 1, 10.6, 98.8
0 2 1, 23.0, 18.2
0 2 2, 27.0, 100.0
2 2 0, 27.4, 39.6
2 2 -1, 34.2, 35.4
2 0 -2, 36.5, 29.9
2 2 4, 38.0, 18.3
2 -2 0, 39.1, 20.0
2 4 2, 41.0, 15.5
4 2 2, 41.2, 15.1

=====

[9]
For Y6HoMg5, a PBE-relaxed structure gives the calculated powder XRD pattern in this record (Cu Ka).
Lines closer than 0.1° are merged.

Structural model:
```
data_Y6HoMg5
_space_group_name_H-M_alt 'P 1 2/m 1'
_space_group_IT_number 10
_cell_length_a 5.3847
_cell_length_b 7.7442
_cell_length_c 8.5609
_cell_angle_alpha 90.00
_cell_angle_beta 108.18
_cell_angle_gamma 90.00
loop_
_space_group_symop_operation_xyz
'x,y,z'
'-x,-y,-z'
'-x,y,-z'
'x,-y,z'
loop_
_atom_site_label
_atom_site_type_symbol
_atom_site_fract_x
_atom_site_fract_y
_atom_site_fract_z
Y1 Y 0.0000 0.2391 0.0000
Y2 Y 0.3279 0.2462 0.6603
Ho1 Ho 0.5000 0.5000 0.0000
Mg1 Mg 0.1644 0.5000 0.3244
Mg2 Mg 0.1705 0.0000 0.3340
Mg3 Mg 0.5000 0.0000 0.0000
```

Most intense lines, 10° ≤ 2θ ≤ 90°, in order of rising 2θ:
index, Position (°2θ), Rel. int.
1 1 -1, 20.8, 9.2
1 0 -2, 23.3, 11.6
1 2 1, 32.9, 100.0
0 0 3, 33.0, 24.8
2 0 -1, 33.3, 24.5
0 4 0, 46.9, 9.0
0 4 3, 58.6, 9.2
2 4 -1, 58.7, 9.2
1 2 -5, 58.9, 17.8
3 2 -3, 59.2, 17.8

=====

[10]
For La2PrNd2Er, a PBE-relaxed structure gives the calculated powder XRD pattern in this record (Cu Ka).
Lines closer than 0.1° are merged.

Structural model:
```
data_La2PrNd2Er
_space_group_name_H-M_alt 'P m m a'
_space_group_IT_number 51
_cell_length_a 7.1670
_cell_length_b 5.8120
_cell_length_c 10.1106
_cell_angle_alpha 90.00
_cell_angle_beta 90.00
_cell_angle_gamma 90.00
loop_
_space_group_symop_operation_xyz
'x,y,z'
'-x,-y,-z'
'-x+1/2,-y,z'
'x+1/2,y,-z'
'x+1/2,-y,-z'
'-x+1/2,y,z'
'-x,y,-z'
'x,-y,z'
loop_
_atom_site_label
_atom_site_type_symbol
_atom_site_fract_x
_atom_site_fract_y
_atom_site_fract_z
La1 La 0.0000 0.0000 0.0000
La2 La 0.2500 0.5000 0.1708
Pr1 Pr 0.0000 0.5000 0.5000
Nd1 Nd 0.2500 0.0000 0.3319
Nd2 Nd 0.2500 0.5000 0.8350
Er1 Er 0.2500 0.0000 0.6631
```

Most intense lines, 10° ≤ 2θ ≤ 90°, in order of rising 2θ:
index, Position (°2θ), Rel. int.
0 1 3, 30.6, 100.0
0 2 0, 30.8, 21.4
2 2 0, 39.9, 8.2
2 0 4, 43.8, 7.1
2 2 2, 43.9, 14.0
0 0 6, 54.5, 19.1
0 3 3, 54.6, 15.9
4 2 0, 60.7, 19.3
0 2 6, 63.9, 5.2
4 3 3, 78.0, 5.9

=====

[11]
For K2ZnP, a PBE-relaxed structure gives the calculated powder XRD pattern in this record (Cu Ka).
Lines closer than 0.1° are merged.

Structural model:
```
data_K2ZnP
_space_group_name_H-M_alt 'C 1 m 1'
_space_group_IT_number 8
_cell_length_a 11.9718
_cell_length_b 4.0787
_cell_length_c 5.5015
_cell_angle_alpha 90.00
_cell_angle_beta 117.35
_cell_angle_gamma 90.00
loop_
_space_group_symop_operation_xyz
'x,y,z'
'x,-y,z'
'x+1/2,y+1/2,z'
'x+1/2,-y+1/2,z'
loop_
_atom_site_label
_atom_site_type_symbol
_atom_site_fract_x
_atom_site_fract_y
_atom_site_fract_z
K1 K 0.0000 0.0000 0.0000
K2 K 0.1872 0.0000 0.6869
Zn1 Zn 0.3033 0.5000 0.3029
P1 P 0.4117 0.0000 0.4108
```

Most intense lines, 10° ≤ 2θ ≤ 90°, in order of rising 2θ:
index, Position (°2θ), Rel. int.
2 0 0, 16.7, 17.4
0 0 1, 18.2, 28.6
1 1 0, 23.4, 17.6
2 0 1, 30.0, 62.2
1 1 1, 32.1, 100.0
2 0 -2, 32.6, 41.5
0 2 0, 44.4, 16.3
5 1 0, 48.3, 23.6
2 2 1, 54.5, 20.1
3 1 2, 59.4, 24.0

=====

[12]
For Li2ZnTc, a PBE-relaxed structure gives the calculated powder XRD pattern in this record (Cu Ka).
Lines closer than 0.1° are merged.

Structural model:
```
data_Li2ZnTc
_space_group_name_H-M_alt 'C 1 2/m 1'
_space_group_IT_number 12
_cell_length_a 5.3368
_cell_length_b 9.2962
_cell_length_c 2.5006
_cell_angle_alpha 90.00
_cell_angle_beta 114.16
_cell_angle_gamma 90.00
loop_
_space_group_symop_operation_xyz
'x,y,z'
'-x,-y,-z'
'-x,y,-z'
'x,-y,z'
'x+1/2,y+1/2,z'
'-x+1/2,-y+1/2,-z'
'-x+1/2,y+1/2,-z'
'x+1/2,-y+1/2,z'
loop_
_atom_site_label
_atom_site_type_symbol
_atom_site_fract_x
_atom_site_fract_y
_atom_site_fract_z
Li1 Li 0.2500 0.2500 0.0000
Zn1 Zn 0.0000 0.0000 0.5000
Tc1 Tc 0.0000 0.5000 0.5000
```

Most intense lines, 10° ≤ 2θ ≤ 90°, in order of rising 2θ:
index, Position (°2θ), Rel. int.
0 2 0, 19.1, 100.0
2 0 0, 36.9, 18.6
0 4 0, 38.7, 20.6
0 0 1, 39.5, 15.4
2 0 -1, 41.7, 16.7
2 2 0, 41.9, 33.0
0 2 1, 44.2, 28.1
2 2 -1, 46.3, 19.3
2 4 0, 54.6, 11.6
2 4 -1, 58.3, 12.1

=====

Please write out number 8 again, unchanged.
For K3U3ZnTe8, a PBE-relaxed structure gives the calculated powder XRD pattern in this record (Cu Ka).
Lines closer than 0.1° are merged.

Structural model:
```
data_K3U3ZnTe8
_space_group_name_H-M_alt 'P -1'
_space_group_IT_number 2
_cell_length_a 8.7827
_cell_length_b 8.8147
_cell_length_c 9.5897
_cell_angle_alpha 64.96
_cell_angle_beta 64.95
_cell_angle_gamma 63.19
loop_
_space_group_symop_operation_xyz
'x,y,z'
'-x,-y,-z'
loop_
_atom_site_label
_atom_site_type_symbol
_atom_site_fract_x
_atom_site_fract_y
_atom_site_fract_z
K1 K 0.0000 0.0000 0.0000
K2 K 0.0000 0.5000 0.0000
K3 K 0.5000 0.0000 0.0000
U1 U 0.0000 0.5000 0.5000
U2 U 0.5000 0.0000 0.5000
U3 U 0.5000 0.5000 0.5000
Zn1 Zn 0.0000 0.0000 0.5000
Te1 Te 0.2032 0.2031 0.3179
Te2 Te 0.2519 0.7100 0.2852
Te3 Te 0.2615 0.2624 0.7126
Te4 Te 0.2837 0.7517 0.7120
```

Most intense lines, 10° ≤ 2θ ≤ 90°, in order of rising 2θ:
index, Position (°2θ), Rel. int.
0 0 1, 10.6, 98.8
0 2 1, 23.0, 18.2
0 2 2, 27.0, 100.0
2 2 0, 27.4, 39.6
2 2 -1, 34.2, 35.4
2 0 -2, 36.5, 29.9
2 2 4, 38.0, 18.3
2 -2 0, 39.1, 20.0
2 4 2, 41.0, 15.5
4 2 2, 41.2, 15.1